No. 1
Theoretical powder diffraction line list of LaEu2NbO6 for copper Kα, from a crystal structure in the Materials Project, relaxed with PBE.
Lines closer than 0.1° are merged.

```
LaEu2NbO6
1.0
0.0000 4.3364 4.3364
4.3364 0.0000 4.3364
4.3364 4.3364 0.0000
La Eu Nb O
1 2 1 6
direct
0.0000 0.0000 0.0000 La
0.2500 0.2500 0.2500 Eu
0.7500 0.7500 0.7500 Eu
0.5000 0.5000 0.5000 Nb
0.2684 0.2684 0.7316 O
0.2684 0.7316 0.2684 O
0.2684 0.7316 0.7316 O
0.7316 0.2684 0.2684 O
0.7316 0.2684 0.7316 O
0.7316 0.7316 0.2684 O
```

Peak list (10 most intense, 10° ≤ 2θ ≤ 90°, low angle first)
2θ/deg  Rel. int.
29.12  100
34.29  1
35.87  4
41.65  29
51.63  41
60.37  18
68.41  18
72.26  1
76.03  6
83.39  21



No. 2
Theoretical powder diffraction line list of LaEu2NbO6 for copper Kα, from a crystal structure in the Materials Project, relaxed with PBE.
Lines closer than 0.1° are merged.

```
LaEu2NbO6
1.0
8.5937 0.0000 0.0000
0.0000 8.5937 0.0000
0.0000 0.0000 8.5937
La Eu Nb O
4 8 4 24
direct
0.0000 0.0000 0.0000 La
0.0000 0.5000 0.5000 La
0.5000 0.0000 0.5000 La
0.5000 0.5000 0.0000 La
0.2500 0.2500 0.2500 Eu
0.2500 0.2500 0.7500 Eu
0.2500 0.7500 0.2500 Eu
0.2500 0.7500 0.7500 Eu
0.7500 0.2500 0.2500 Eu
0.7500 0.2500 0.7500 Eu
0.7500 0.7500 0.2500 Eu
0.7500 0.7500 0.7500 Eu
0.0000 0.0000 0.5000 Nb
0.0000 0.5000 0.0000 Nb
0.5000 0.0000 0.0000 Nb
0.5000 0.5000 0.5000 Nb
0.0426 0.5523 0.7716 O
0.0426 0.9477 0.7284 O
0.0523 0.2284 0.5426 O
0.0523 0.2716 0.9574 O
0.2284 0.5426 0.0523 O
0.2284 0.9574 0.4477 O
0.2716 0.5426 0.4477 O
0.2716 0.9574 0.0523 O
0.4477 0.2284 0.9574 O
0.4477 0.2716 0.5426 O
0.4574 0.5523 0.7284 O
0.4574 0.9477 0.7716 O
0.5426 0.0523 0.2284 O
0.5426 0.4477 0.2716 O
0.5523 0.7284 0.4574 O
0.5523 0.7716 0.0426 O
0.7284 0.0426 0.9477 O
0.7284 0.4574 0.5523 O
0.7716 0.0426 0.5523 O
0.7716 0.4574 0.9477 O
0.9477 0.7284 0.0426 O
0.9477 0.7716 0.4574 O
0.9574 0.0523 0.2716 O
0.9574 0.4477 0.2284 O
```

Peak list (10 most intense, 10° ≤ 2θ ≤ 90°, low angle first)
2θ/deg  Rel. int.
20.67  1
29.40  100
34.62  1
36.21  3
42.06  25
52.14  45
60.99  15
69.13  18
76.85  5
84.34  22



No. 3
Theoretical powder diffraction line list of SrLaEuNbO6 for copper Kα, from a crystal structure in the Materials Project, relaxed with PBE.
Lines closer than 0.1° are merged.

```
SrLaEuNbO6
1.0
0.0000 4.3368 4.3368
4.3368 0.0000 4.3368
4.3368 4.3368 0.0000
Sr La Eu Nb O
1 1 1 1 6
direct
0.0000 0.0000 0.0000 Sr
0.2500 0.2500 0.2500 La
0.5000 0.5000 0.5000 Eu
0.7500 0.7500 0.7500 Nb
0.5185 0.5185 0.9815 O
0.5185 0.9815 0.5185 O
0.5185 0.9815 0.9815 O
0.9815 0.5185 0.5185 O
0.9815 0.5185 0.9815 O
0.9815 0.9815 0.5185 O
```

Peak list (10 most intense, 10° ≤ 2θ ≤ 90°, low angle first)
2θ/deg  Rel. int.
17.71  5
29.12  100
34.29  4
41.65  31
45.59  2
51.63  41
60.37  19
68.41  18
76.02  6
83.38  21



Repeat the third record exactly.
Theoretical powder diffraction line list of SrLaEuNbO6 for copper Kα, from a crystal structure in the Materials Project, relaxed with PBE.
Lines closer than 0.1° are merged.

```
SrLaEuNbO6
1.0
0.0000 4.3368 4.3368
4.3368 0.0000 4.3368
4.3368 4.3368 0.0000
Sr La Eu Nb O
1 1 1 1 6
direct
0.0000 0.0000 0.0000 Sr
0.2500 0.2500 0.2500 La
0.5000 0.5000 0.5000 Eu
0.7500 0.7500 0.7500 Nb
0.5185 0.5185 0.9815 O
0.5185 0.9815 0.5185 O
0.5185 0.9815 0.9815 O
0.9815 0.5185 0.5185 O
0.9815 0.5185 0.9815 O
0.9815 0.9815 0.5185 O
```

Peak list (10 most intense, 10° ≤ 2θ ≤ 90°, low angle first)
2θ/deg  Rel. int.
17.71  5
29.12  100
34.29  4
41.65  31
45.59  2
51.63  41
60.37  19
68.41  18
76.02  6
83.38  21